# 1
Starting from a GGA+U-relaxed structure, the powder X-ray diffraction pattern of MgV2Cr4O12 was simulated for Cu Kα, 1.54184 Å.

Principal peaks in the range 2θ = 15–90°, in order of falling intensity:
2θ (°)	intensity
35.98	1000
26.45	912
26.88	863
53.14	619
53.62	608
67.45	411

Structure:
Lattice parameters (Å, degrees): 4.7250 4.7305 8.8178 90.00 90.00 90.91
Atoms (fractional coordinates):
Mg (0.0000, 0.0000, 0.0000)
V (0.9997, 0.4979, 0.3343)
V (0.4999, 0.0015, 0.8106)
Cr (0.9998, 0.5001, 0.9928)
Cr (0.0001, 0.5008, 0.6606)
Cr (0.4998, 0.9985, 0.1648)
Cr (0.5002, 0.9987, 0.4872)
O (0.1627, 0.2761, 0.1600)
O (0.1759, 0.2633, 0.8298)
O (0.1790, 0.2968, 0.4838)
O (0.3109, 0.7760, 0.3260)
O (0.3233, 0.7895, 0.6681)
O (0.3352, 0.7837, 0.9843)
O (0.6644, 0.2160, 0.9844)
O (0.6767, 0.2113, 0.6678)
O (0.6893, 0.2219, 0.3259)
O (0.8204, 0.7016, 0.4835)
O (0.8246, 0.7375, 0.8298)
O (0.8367, 0.7230, 0.1599)



# 2
Starting from a GGA+U-relaxed structure, the powder X-ray diffraction pattern of Li4Mn3V2Ni3O16 was simulated for Cu Kα, 1.54184 Å.

Principal peaks in the range 2θ = 15–90°, in order of falling intensity:
2θ (°)	intensity
18.85	1000
19.91	751
20.08	463
36.41	439
63.36	386
45.91	369

Structure:
Lattice parameters (Å, degrees): 5.8739 5.8739 9.4167 91.21 91.21 59.12
Atoms (fractional coordinates):
Li (0.0000, 0.0000, 0.0000)
Li (0.0037, 0.0037, 0.5078)
Li (0.3349, 0.3349, 0.5946)
Li (0.6739, 0.6739, 0.0949)
Mn (0.1680, 0.6625, 0.2800)
Mn (0.6625, 0.1680, 0.2800)
Mn (0.8272, 0.8272, 0.7770)
V (0.3335, 0.3335, 0.9985)
V (0.6480, 0.6480, 0.5148)
Ni (0.1744, 0.1744, 0.2828)
Ni (0.3412, 0.8341, 0.7857)
Ni (0.8341, 0.3412, 0.7857)
O (0.0473, 0.4981, 0.1516)
O (0.1678, 0.6510, 0.9051)
O (0.1772, 0.1772, 0.9189)
O (0.3468, 0.3468, 0.3883)
O (0.3486, 0.8270, 0.4061)
O (0.4839, 0.4839, 0.1609)
O (0.4981, 0.0473, 0.1516)
O (0.5214, 0.5214, 0.6380)
O (0.5356, 0.9613, 0.6477)
O (0.6510, 0.1678, 0.9051)
O (0.6775, 0.6775, 0.8886)
O (0.8270, 0.3486, 0.4061)
O (0.8430, 0.8430, 0.3917)
O (0.9613, 0.5356, 0.6477)
O (0.9936, 0.9936, 0.6958)
O (0.9979, 0.9979, 0.1894)



# 3
Starting from a GGA+U-relaxed structure, the powder X-ray diffraction pattern of NaNiO2 was simulated for Cu Kα, 1.54184 Å.

Principal peaks in the range 2θ = 15–90°, in order of falling intensity:
2θ (°)	intensity
16.75	1000
41.11	973
42.81	423
36.38	351
33.86	250
58.83	248

Structure:
Lattice parameters (Å, degrees): 5.0792 3.0440 5.5157 90.00 106.29 90.00
Atoms (fractional coordinates):
Na (0.2493, 0.0000, 0.0002)
Na (0.7507, 0.5000, 0.9998)
Ni (0.2510, 0.5012, 0.5009)
Ni (0.7490, 0.0012, 0.4991)
O (0.0119, 0.9558, 0.3059)
O (0.4889, 0.0440, 0.6961)
O (0.5111, 0.5440, 0.3039)
O (0.9881, 0.4558, 0.6941)



# 4
Starting from a GGA+U-relaxed structure, the powder X-ray diffraction pattern of Li4VO3F2 was simulated for Cu Kα, 1.54184 Å.

Principal peaks in the range 2θ = 15–90°, in order of falling intensity:
2θ (°)	intensity
30.35	1000
22.13	770
20.29	753
43.00	640
53.63	563
19.88	477

Structure:
Lattice parameters (Å, degrees): 5.4187 5.4187 7.9863 98.27 98.27 66.42
Atoms (fractional coordinates):
Li (0.0693, 0.7540, 0.5582)
Li (0.1292, 0.4735, 0.8654)
Li (0.2460, 0.9307, 0.9418)
Li (0.4735, 0.1292, 0.3654)
Li (0.5265, 0.8708, 0.6346)
Li (0.7540, 0.0693, 0.0582)
Li (0.8708, 0.5265, 0.1346)
Li (0.9307, 0.2460, 0.4418)
V (0.3390, 0.6610, 0.2500)
V (0.6610, 0.3390, 0.7500)
O (0.0789, 0.7343, 0.0702)
O (0.2657, 0.9211, 0.4298)
O (0.3626, 0.6374, 0.7500)
O (0.6374, 0.3626, 0.2500)
O (0.7343, 0.0789, 0.5702)
O (0.9211, 0.2657, 0.9298)
F (0.1362, 0.4747, 0.3508)
F (0.4747, 0.1362, 0.8508)
F (0.5253, 0.8638, 0.1492)
F (0.8638, 0.5253, 0.6492)



# 5
Starting from a GGA+U-relaxed structure, the powder X-ray diffraction pattern of NiH24C4S4N8Cl2O8 was simulated for Cu Kα, 1.54184 Å.

Principal peaks in the range 2θ = 15–90°, in order of falling intensity:
2θ (°)	intensity
21.44	1000
21.31	922
18.38	783
24.94	333
22.48	306
22.20	291

Structure:
Lattice parameters (Å, degrees): 8.5488 8.9026 9.0647 74.71 76.92 64.81
Atoms (fractional coordinates):
Ni (0.0000, 0.0000, 0.0000)
H (0.1319, 0.2487, 0.4455)
H (0.1498, 0.9124, 0.2901)
H (0.1724, 0.4649, 0.6997)
H (0.1720, 0.6258, 0.0254)
H (0.1742, 0.1720, 0.0372)
H (0.1817, 0.8689, 0.7527)
H (0.2279, 0.3141, 0.2515)
H (0.2655, 0.6176, 0.5912)
H (0.3219, 0.9782, 0.0400)
H (0.3287, 0.8050, 0.8707)
H (0.3528, 0.2372, 0.4094)
H (0.3962, 0.3943, 0.6126)
H (0.6038, 0.6057, 0.3874)
H (0.6472, 0.7628, 0.5906)
H (0.6713, 0.1950, 0.1293)
H (0.6781, 0.0218, 0.9600)
H (0.7345, 0.3824, 0.4088)
H (0.7721, 0.6859, 0.7485)
H (0.8183, 0.1311, 0.2473)
H (0.8258, 0.8280, 0.9628)
H (0.8280, 0.3742, 0.9746)
H (0.8276, 0.5351, 0.3003)
H (0.8502, 0.0876, 0.7099)
H (0.8681, 0.7513, 0.5545)
C (0.2507, 0.2273, 0.3627)
C (0.2893, 0.4938, 0.6672)
C (0.7107, 0.5062, 0.3328)
C (0.7493, 0.7727, 0.6373)
S (0.3319, 0.0185, 0.3303)
S (0.3592, 0.4932, 0.8370)
S (0.6408, 0.5068, 0.1630)
S (0.6681, 0.9815, 0.6697)
N (0.1737, 0.0213, 0.2456)
N (0.1921, 0.6567, 0.9065)
N (0.1955, 0.0474, 0.0813)
N (0.2047, 0.8178, 0.8650)
N (0.7953, 0.1822, 0.1350)
N (0.8045, 0.9526, 0.9187)
N (0.8079, 0.3433, 0.0935)
N (0.8263, 0.9787, 0.7544)
Cl (0.0099, 0.7759, 0.2215)
Cl (0.9901, 0.2241, 0.7785)
O (0.3301, 0.9026, 0.4772)
O (0.3578, 0.3443, 0.9506)
O (0.4841, 0.4720, 0.2072)
O (0.4916, 0.9889, 0.2239)
O (0.5084, 0.0111, 0.7761)
O (0.5159, 0.5280, 0.7928)
O (0.6422, 0.6557, 0.0494)
O (0.6699, 0.0974, 0.5228)



# 6
Starting from a GGA+U-relaxed structure, the powder X-ray diffraction pattern of Mg2TiWO6 was simulated for Cu Kα, 1.54184 Å.

Principal peaks in the range 2θ = 15–90°, in order of falling intensity:
2θ (°)	intensity
23.41	1000
32.27	683
20.65	558
34.39	517
52.50	428
39.54	330

Structure:
Lattice parameters (Å, degrees): 5.5708 5.5708 5.5708 55.83 55.83 55.83
Atoms (fractional coordinates):
Mg (0.0000, 0.0000, 0.0000)
Mg (0.4940, 0.4940, 0.4940)
Ti (0.2072, 0.2072, 0.2072)
W (0.7041, 0.7041, 0.7041)
O (0.0858, 0.8204, 0.4190)
O (0.3076, 0.5823, 0.9301)
O (0.4190, 0.0858, 0.8204)
O (0.5823, 0.9301, 0.3076)
O (0.8204, 0.4190, 0.0858)
O (0.9301, 0.3076, 0.5823)



# 7
Starting from a GGA+U-relaxed structure, the powder X-ray diffraction pattern of PbWO2 was simulated for Cu Kα, 1.54184 Å.

Principal peaks in the range 2θ = 15–90°, in order of falling intensity:
2θ (°)	intensity
30.73	1000
27.89	386
38.99	348
48.62	340
51.16	296
65.54	257

Structure:
Lattice parameters (Å, degrees): 7.8910 7.8910 7.8910 131.09 131.09 71.68
Atoms (fractional coordinates):
Pb (0.0000, 0.0000, 0.0000)
Pb (0.0000, 0.0000, 0.5000)
Pb (0.0000, 0.5000, 0.0000)
Pb (0.5000, 0.0000, 0.5000)
W (0.0000, 0.5000, 0.5000)
W (0.5000, 0.0000, 0.0000)
W (0.5000, 0.5000, 0.0000)
W (0.5000, 0.5000, 0.5000)
O (0.1994, 0.2498, 0.5504)
O (0.1994, 0.6490, 0.9496)
O (0.2498, 0.1994, 0.0504)
O (0.3510, 0.8006, 0.5504)
O (0.6490, 0.1994, 0.4496)
O (0.7502, 0.8006, 0.9496)
O (0.8006, 0.3510, 0.0504)
O (0.8006, 0.7502, 0.4496)